No. 1
CsNaAl2Br8: calculated powder diffractogram (λ = 1.5418 Å (Cu Kα)), based on a PBE-relaxed structure.

Principal peaks in the range 2θ from 10° to 80°, by angle:
two_theta, I/Imax, index
25.8, 35, 0 0 9
26.8, 100, 2 -1 3
30.8, 67, 1 1 6
43.4, 30, 2 -1 12
44.7, 30, 3 0 0
52.3, 27, 3 0 9

Atomic structure:
```
data_CsNaAl2Br8
_symmetry_space_group_name_H-M 'R -3'
_symmetry_Int_Tables_number 148
_symmetry_space_group_name_Hall '-R 3'
_cell_length_a 7.0270
_cell_length_b 7.0270
_cell_length_c 31.0507
_cell_angle_alpha 90.00
_cell_angle_beta 90.00
_cell_angle_gamma 120.00
loop_
_atom_site_label
_atom_site_fract_x
_atom_site_fract_y
_atom_site_fract_z
Cs1 0.0000 0.0000 0.0000
Na1 0.0000 0.0000 0.5000
Al1 0.0000 0.0000 0.2489
Br1 0.0000 0.0000 0.3240
Br2 0.0109 0.3585 0.4410
```


No. 2
CsAl2SnBr8: calculated powder diffractogram (λ = 1.5418 Å (Cu Kα)), based on a PBE-relaxed structure.

Principal peaks in the range 2θ from 10° to 80°, by angle:
two_theta, I/Imax, index
18.1, 36, 1 0 4
24.3, 25, 0 0 9
26.6, 85, 2 -1 3
30.1, 100, 1 1 6
41.7, 35, 2 -1 12
44.5, 40, 3 0 0

Atomic structure:
```
data_CsAl2SnBr8
_symmetry_space_group_name_H-M 'R -3'
_symmetry_Int_Tables_number 148
_symmetry_space_group_name_Hall '-R 3'
_cell_length_a 7.0465
_cell_length_b 7.0465
_cell_length_c 32.9744
_cell_angle_alpha 90.00
_cell_angle_beta 90.00
_cell_angle_gamma 120.00
loop_
_atom_site_label
_atom_site_fract_x
_atom_site_fract_y
_atom_site_fract_z
Cs1 0.0000 0.0000 0.0000
Al1 0.0000 0.0000 0.2550
Sn1 0.0000 0.0000 0.5000
Br1 0.0000 0.0000 0.3256
Br2 0.0094 0.3625 0.4345
```


No. 3
CsSrAl2Br8: calculated powder diffractogram (λ = 1.5418 Å (Cu Kα)), based on a PBE-relaxed structure.

Principal peaks in the range 2θ from 10° to 80°, by angle:
two_theta, I/Imax, index
25.8, 33, 0 0 9
26.1, 100, 1 1 3
30.2, 95, 2 -1 6
42.9, 41, 1 1 12
43.4, 43, 3 0 0
51.2, 27, 3 0 9

Atomic structure:
```
data_CsSrAl2Br8
_symmetry_space_group_name_H-M 'R -3'
_symmetry_Int_Tables_number 148
_symmetry_space_group_name_Hall '-R 3'
_cell_length_a 7.2189
_cell_length_b 7.2189
_cell_length_c 31.1175
_cell_angle_alpha 90.00
_cell_angle_beta 90.00
_cell_angle_gamma 120.00
loop_
_atom_site_label
_atom_site_fract_x
_atom_site_fract_y
_atom_site_fract_z
Cs1 0.0000 0.0000 0.0000
Sr1 0.0000 0.0000 0.5000
Al1 0.0000 0.0000 0.2492
Br1 0.0000 0.0000 0.3251
Br2 0.0030 0.6520 0.4409
```


No. 4
Cs2AlTlBr6: calculated powder diffractogram (λ = 1.5418 Å (Cu Kα)), based on a PBE-relaxed structure.

Principal peaks in the range 2θ from 10° to 80°, by angle:
two_theta, I/Imax, index
13.1, 37, 1 0 0
17.0, 32, 1 0 1
28.5, 100, 0 2 1
34.5, 63, 2 0 2
46.4, 26, 2 2 0
58.1, 22, 2 2 3

Atomic structure:
```
data_Cs2AlTlBr6
_symmetry_space_group_name_H-M 'P -3 m 1'
_symmetry_Int_Tables_number 164
_symmetry_space_group_name_Hall '-P 3 2"'
_cell_length_a 7.8302
_cell_length_b 7.8302
_cell_length_c 8.1265
_cell_angle_alpha 90.00
_cell_angle_beta 90.00
_cell_angle_gamma 120.00
loop_
_atom_site_label
_atom_site_fract_x
_atom_site_fract_y
_atom_site_fract_z
Cs1 0.3333 0.6667 0.1603
Al1 0.0000 0.0000 0.0000
Tl1 0.0000 0.0000 0.5000
Br1 0.1535 0.3070 0.8182
```


No. 5
AlCuBr3: calculated powder diffractogram (λ = 1.5418 Å (Cu Kα)), based on a PBE-relaxed structure.

Principal peaks in the range 2θ from 10° to 80°, by angle:
two_theta, I/Imax, index
17.5, 76, 1 0 0
30.5, 71, 1 1 1
35.3, 100, 2 0 0
39.7, 38, 2 1 0
50.8, 69, 2 2 0
60.5, 29, 3 1 1

Atomic structure:
```
data_AlCuBr3
_symmetry_space_group_name_H-M 'P m -3 m'
_symmetry_Int_Tables_number 221
_symmetry_space_group_name_Hall '-P 4 2 3'
_cell_length_a 5.0792
_cell_length_b 5.0792
_cell_length_c 5.0792
_cell_angle_alpha 90.00
_cell_angle_beta 90.00
_cell_angle_gamma 90.00
loop_
_atom_site_label
_atom_site_fract_x
_atom_site_fract_y
_atom_site_fract_z
Al1 0.0000 0.0000 0.0000
Cu1 0.5000 0.5000 0.5000
Br1 0.0000 0.5000 0.5000
```


No. 6
AlTl2CuBr6: calculated powder diffractogram (λ = 1.5418 Å (Cu Kα)), based on a PBE-relaxed structure.

Principal peaks in the range 2θ from 10° to 80°, by angle:
two_theta, I/Imax, index
19.4, 26, 0 1 1
27.6, 22, 2 0 0
30.9, 100, 2 0 1
39.4, 33, 0 2 2
48.9, 25, 2 2 0
59.0, 21, 0 4 1

Atomic structure:
```
data_AlTl2CuBr6
_symmetry_space_group_name_H-M 'P -3 m 1'
_symmetry_Int_Tables_number 164
_symmetry_space_group_name_Hall '-P 3 2"'
_cell_length_a 7.4517
_cell_length_b 7.4517
_cell_length_c 6.4959
_cell_angle_alpha 90.00
_cell_angle_beta 90.00
_cell_angle_gamma 120.00
loop_
_atom_site_label
_atom_site_fract_x
_atom_site_fract_y
_atom_site_fract_z
Al1 0.0000 0.0000 0.0000
Tl1 0.3333 0.6667 0.8464
Cu1 0.0000 0.0000 0.5000
Br1 0.1577 0.3154 0.2312
```